Diffraction record for BaNaNdSeO6. The powder X-ray diffraction pattern is theoretical, not measured: it uses a GGA-PBE-relaxed structure and Cu Kα.

Top 12 peaks for 10° ≤ 2θ ≤ 80°, sorted by position:
(hkl)  d_spacing  I/Imax
1 1 1  4.794  24.4
2 0 0  4.152  11.3
2 2 0  2.936  100.0
3 1 1  2.503  17.1
4 0 0  2.076  32.7
3 3 1  1.905  9.2
4 2 0  1.857  3.7
4 2 2  1.695  38.5
3 3 3  1.598  5.4
4 4 0  1.468  19.4
5 3 1  1.403  5.1
6 2 0  1.313  18.5

Crystal structure
```
data_BaNaNdSeO6
_symmetry_space_group_name_H-M 'F -4 3 m'
_symmetry_Int_Tables_number 216
_symmetry_space_group_name_Hall 'F -4 2 3'
_cell_length_a 8.303
_cell_length_b 8.303
_cell_length_c 8.303
_cell_angle_alpha 90.00
_cell_angle_beta 90.00
_cell_angle_gamma 90.00
loop_
_atom_site_label
_atom_site_type_symbol
_atom_site_fract_x
_atom_site_fract_y
_atom_site_fract_z
Ba1 Ba 0.000 0.000 0.000
Na1 Na 0.000 0.000 0.500
Nd1 Nd 0.250 0.250 0.750
Se1 Se 0.250 0.250 0.250
O1 O 0.029 0.250 0.250
```

Diffraction record for Ba7In2Se6F8. The powder X-ray diffraction pattern is theoretical, not measured: it uses a GGA-PBE-relaxed structure and Cu Kα.

Top 12 peaks for 10° ≤ 2θ ≤ 80°, sorted by position:
(hkl)  d_spacing  I/Imax
3 1 1  3.479  19.3
3 1 -2  3.377  100.0
2 0 3  3.150  50.2
8 0 -1  3.059  42.9
5 1 1  2.928  43.5
1 1 3  2.685  19.6
7 1 -2  2.655  22.5
0 2 0  2.229  37.2
1 1 -5  1.960  22.9
11 1 -3  1.917  25.1
2 2 3  1.820  20.1
8 2 -1  1.802  17.0

Crystal structure
```
data_Ba7In2Se6F8
_symmetry_space_group_name_H-M 'C 1 2/m 1'
_symmetry_Int_Tables_number 12
_cell_length_a 24.488
_cell_length_b 4.459
_cell_length_c 11.159
_cell_angle_alpha 90.00
_cell_angle_beta 107.21
_cell_angle_gamma 90.00
loop_
_symmetry_equiv_pos_as_xyz
'x,y,z'
'-x,-y,-z'
'-x,y,-z'
'x,-y,z'
'x+1/2,y+1/2,z'
'-x+1/2,-y+1/2,-z'
'-x+1/2,y+1/2,-z'
'x+1/2,-y+1/2,z'
loop_
_atom_site_label
_atom_site_type_symbol
_atom_site_fract_x
_atom_site_fract_y
_atom_site_fract_z
Ba1 Ba 0.000 0.000 0.000
Ba2 Ba 0.043 0.500 0.356
Ba3 Ba 0.135 0.500 0.899
Ba4 Ba 0.172 0.000 0.240
In1 In 0.172 0.000 0.623
Se1 Se 0.068 0.000 0.631
Se2 Se 0.190 0.500 0.502
Se3 Se 0.239 0.000 0.849
F1 F 0.024 0.500 0.878
F2 F 0.065 0.000 0.263
F3 F 0.114 0.000 0.997
F4 F 0.116 0.500 0.166
```

Diffraction record for MgZn. The powder X-ray diffraction pattern is theoretical, not measured: it uses a GGA-PBE-relaxed structure and Cu Kα.

Top 12 peaks for 10° ≤ 2θ ≤ 80°, sorted by position:
(hkl)  d_spacing  I/Imax
1 0 2  4.003  28.7
0 1 1  2.981  11.8
0 1 3  2.603  23.3
0 0 6  2.518  13.9
2 0 0  2.360  35.8
1 1 3  2.279  100.0
1 0 6  2.222  41.3
2 1 3  1.748  13.5
0 1 9  1.470  14.1
3 1 3  1.346  17.0
1 2 6  1.255  11.8
2 1 9  1.247  15.6

Crystal structure
```
data_MgZn
_symmetry_space_group_name_H-M 'A m m 2'
_symmetry_Int_Tables_number 38
_cell_length_a 4.720
_cell_length_b 3.041
_cell_length_c 15.107
_cell_angle_alpha 90.00
_cell_angle_beta 90.00
_cell_angle_gamma 90.00
loop_
_symmetry_equiv_pos_as_xyz
'x,y,z'
'-x,-y,z'
'-x,y,z'
'x,-y,z'
'x,y+1/2,z+1/2'
'-x,-y+1/2,z+1/2'
'-x,y+1/2,z+1/2'
'x,-y+1/2,z+1/2'
loop_
_atom_site_label
_atom_site_type_symbol
_atom_site_fract_x
_atom_site_fract_y
_atom_site_fract_z
Mg1 Mg 0.000 0.000 0.000
Mg2 Mg 0.000 0.000 0.324
Mg3 Mg 0.500 0.000 0.119
Zn1 Zn 0.000 0.000 0.667
Zn2 Zn 0.500 0.000 0.441
Zn3 Zn 0.500 0.000 0.782
```

Diffraction record for CeOs2. The powder X-ray diffraction pattern is theoretical, not measured: it uses a GGA-PBE-relaxed structure and Cu Kα.

Top 11 peaks for 10° ≤ 2θ ≤ 80°, sorted by position:
(hkl)  d_spacing  I/Imax
1 1 1  4.407  16.5
2 2 0  2.699  18.7
3 1 1  2.302  100.0
2 2 2  2.204  50.4
4 0 0  1.908  9.8
3 3 1  1.751  4.3
4 2 2  1.558  7.0
5 1 1  1.469  32.8
4 4 0  1.349  30.0
5 3 1  1.290  3.2
6 2 0  1.207  3.0

Crystal structure
Lattice parameters (Å, degrees): 7.634 7.634 7.634 90.00 90.00 90.00
Space group Fd-3m (No. 227, origin choice 2)
Unique sites:
Ce (0.125, 0.125, 0.125)
Os (0.000, 0.000, 0.500)